Diffraction record for Ba6Au2Se. The powder X-ray diffraction pattern is computed, not measured: it uses DFT lattice parameters and positions (GGA-PBE) and Cu Kα (λ = 1.5418 Å).
Neutral-atom scattering factors, no anomalous dispersion.

Top 10 peaks for 2θ = 10–90°, by angle:
| 2θ/deg | d/Å | intensity | (hkl) |
| --- | --- | --- | --- |
| 13.11 | 6.754 | 39 | 1 0 1 |
| 15.74 | 5.629 | 30 | 1 1 0 |
| 20.18 | 4.401 | 28 | 1 1 2 |
| 24.47 | 3.638 | 51 | 1 2 0 |
| 24.66 | 3.610 | 100 | 1 1 3 |
| 31.80 | 2.814 | 42 | 2 2 0 |
| 31.95 | 2.801 | 82 | 2 1 3 |
| 37.86 | 2.376 | 55 | 0 3 3 |
| 38.25 | 2.353 | 27 | 0 0 6 |
| 41.58 | 2.172 | 29 | 3 1 3 |

```
Ba6Au2Se
1.0
7.692 0.000 0.000
0.000 8.259 0.000
0.000 0.000 14.119
Ba Au Se
12 4 2
Cartesian
1.798 1.350 0.000
1.899 5.522 2.319
1.899 5.522 11.800
1.947 1.392 4.740
1.947 1.392 9.378
2.048 5.480 7.059
5.644 2.779 7.059
5.745 6.867 4.740
5.745 6.867 9.378
5.793 2.737 2.319
5.793 2.737 11.800
5.893 6.909 0.000
0.000 0.000 2.442
0.000 0.000 11.676
3.846 4.130 4.617
3.846 4.130 9.502
0.000 4.130 0.000
3.846 0.000 7.059
```